Entry 1:
This entry pairs a crystal structure of NiMoP2 with its theoretical powder diffractogram. Radiation: Cu Kα (λ = 1.5418 Å). Structure: the PBE geometry in the Materials Project.
Neutral-atom scattering factors, no anomalous dispersion.

Main lines, sorted by position (10 to 90 degrees two-theta):
2.899 Å, I = 70, hkl 1 0 0; 2.801 Å, I = 22, hkl 0 0 4; 2.289 Å, I = 8, hkl 1 0 3; 2.013 Å, I = 100, hkl 1 0 4; 1.673 Å, I = 37, hkl 1 1 0; 1.436 Å, I = 11, hkl 1 1 4; 1.287 Å, I = 22, hkl 2 0 4; 1.260 Å, I = 11, hkl 1 0 8

Structural model:
Lattice parameters (Å, degrees): 3.3469 3.3469 11.1920 90.00 90.00 120.00
Space group P6_3/mmc (No. 194)
Symmetry-distinct sites (fractional):
Ni1 0.0000 0.0000 0.0000 x2
Mo1 0.0000 0.0000 0.2500 x2
P1 0.3333 0.6667 0.1124 x4



Entry 2:
This entry pairs a crystal structure of Ni6Mo2P3 with its theoretical powder diffractogram. Radiation: Cu Kα (λ = 1.5418 Å). Structure: the PBE geometry in the Materials Project.
Neutral-atom scattering factors, no anomalous dispersion.

Main lines, sorted by position (10 to 90 degrees two-theta):
2.455 Å, I = 60, hkl 1 3 1; 2.211 Å, I = 100, hkl 1 0 2; 2.191 Å, I = 51, hkl 1 4 1; 2.091 Å, I = 70, hkl 1 2 2; 2.077 Å, I = 91, hkl 1 5 0; 2.004 Å, I = 45, hkl 0 6 1; 1.905 Å, I = 51, hkl 0 5 2; 1.764 Å, I = 72, hkl 2 0 0

Structural model:
Lattice parameters (Å, degrees): 3.528 12.849 5.675 90.00 90.00 90.00
Space group Pmmn (No. 59, origin choice 2)
Symmetry-distinct sites (fractional):
Ni1 0.250 0.040 0.138 x4
Ni2 0.250 0.250 0.231 x2
Ni3 0.250 0.651 0.048 x4
Ni4 0.250 0.750 0.437 x2
Mo1 0.250 0.082 0.616 x4
P1 0.250 0.250 0.828 x2
P2 0.250 0.612 0.675 x4